This entry pairs a crystal structure of Lu2WO6 with its computed powder XRD pattern. Radiation: Cu Ka. Structure: the GGA+U geometry in Alexandria.

Structural model:
```
data_Lu2WO6
_cell_length_a 5.1741
_cell_length_b 9.0109
_cell_length_c 9.8254
_cell_angle_alpha 90.00
_cell_angle_beta 90.00
_cell_angle_gamma 90.00
_symmetry_space_group_name_H-M 'P 21 21 21'
_symmetry_Int_Tables_number 19
loop_
_symmetry_equiv_pos_as_xyz
'x,y,z'
'-x+1/2,-y,z+1/2'
'x+1/2,-y+1/2,-z'
'-x,y+1/2,-z+1/2'
loop_
_atom_site_label
_atom_site_type_symbol
_atom_site_fract_x
_atom_site_fract_y
_atom_site_fract_z
_atom_site_occupancy
Lu1 Lu 0.0115 0.1042 0.4658 1
Lu2 Lu 0.0429 0.2185 0.8718 1
W1 W 0.0353 0.4955 0.3470 1
O1 O 0.0993 0.8404 0.0326 1
O2 O 0.1752 0.6384 0.8186 1
O3 O 0.1776 0.9550 0.3051 1
O4 O 0.1968 0.6437 0.2350 1
O5 O 0.2388 0.1187 0.0697 1
O6 O 0.2441 0.5879 0.4979 1
```

The 10 most intense peaks (2θ from 5° to 70°), low angle first:
- (1 2 0), d = 3.398 Å, I 38
- (1 1 2), d = 3.313 Å, I 67
- (1 2 1), d = 3.211 Å, I 100
- (0 1 3), d = 3.078 Å, I 23
- (0 3 1), d = 2.872 Å, I 29
- (1 1 3), d = 2.645 Å, I 68
- (2 0 0), d = 2.587 Å, I 34
- (0 3 2), d = 2.563 Å, I 26
- (2 3 1), d = 1.922 Å, I 30
- (1 5 1), d = 1.677 Å, I 29